Pu3Th: calculated XRD peak list (copper Kα), based on a crystal structure in the Materials Project, relaxed with PBE.
Lines closer than 0.1° are merged.

Crystal structure
```
data_Pu3Th
_chemical_formula_sum 'Pu6 Th2'
_cell_length_a 6.8960
_cell_length_b 6.8960
_cell_length_c 5.4394
_cell_angle_alpha 90.00
_cell_angle_beta 90.00
_cell_angle_gamma 120.00
_symmetry_space_group_name_H-M 'P 63/m m c'
_symmetry_Int_Tables_number 194
_symmetry_space_group_name_Hall '-P 6c 2c'
loop_
_atom_site_label
_atom_site_fract_x
_atom_site_fract_y
_atom_site_fract_z
Pu1 0.1635 0.3270 0.2500
Th1 0.3333 0.6667 0.7500
```

Main lines, sorted by position (2θ = 5–70°):
(2 0 0), 29.92°, d 2.986, rel. 23.6
(0 0 2), 32.93°, d 2.720, rel. 24.7
(2 0 1), 34.26°, d 2.618, rel. 100.0
(2 0 2), 45.09°, d 2.011, rel. 15.8
(2 2 0), 53.12°, d 1.724, rel. 19.7
(2 0 3), 59.66°, d 1.550, rel. 21.1
(4 0 0), 62.18°, d 1.493, rel. 3.1
(2 2 2), 63.94°, d 1.456, rel. 22.9
(4 0 1), 64.75°, d 1.440, rel. 16.5
(0 0 4), 69.07°, d 1.360, rel. 3.1